1.
For SrCaMnGaO5, DFT lattice parameters and positions (GGA+U) gives the simulated X-ray diffraction stick pattern in this record (copper Kα).
Kinematic intensities with the Lorentz-polarization factor, no thermal factor.

Structural model:
```
SrCaMnGaO5
1.0
8.2551 -2.7241 0.0000
8.2551 2.7241 0.0000
-1.9059 0.0000 5.3302
Sr Ca Mn Ga O
2 2 2 2 10
direct
0.1148 0.1148 0.0940
0.8852 0.8852 0.9060
0.3831 0.4028 0.3670
0.5972 0.6169 0.6330
0.0046 0.9954 0.5000
0.5048 0.4952 0.0000
0.2179 0.2820 0.6808
0.7180 0.7821 0.3192
0.1986 0.0892 0.6936
0.2470 0.7322 0.7393
0.2678 0.7530 0.2607
0.3751 0.3331 0.9306
0.3823 0.1386 0.3892
0.6669 0.6249 0.0694
0.7386 0.2415 0.7325
0.7585 0.2614 0.2675
0.8614 0.6177 0.6108
0.9108 0.8014 0.3064
```

Main lines, low angle first (2θ = 10–90°):
d_spacing  2theta  I/Imax
2.830  31.61  56.6
2.768  32.34  100.0
2.756  32.49  98.5
2.724  32.88  68.2
1.963  46.26  59.8
1.943  46.75  32.2
1.582  58.35  37.9
1.579  58.46  21.0


2.
For SrCrOF2, DFT lattice parameters and positions (GGA+U) gives the simulated X-ray diffraction stick pattern in this record (copper Kα).
Kinematic intensities with the Lorentz-polarization factor, no thermal factor.

Structural model:
```
SrCrOF2
1.0
-2.9387 2.9387 4.1240
2.9387 -2.9387 4.1240
2.9387 2.9387 -4.1240
Sr Cr O F
2 2 2 4
direct
0.2500 0.7500 0.5000
0.7500 0.2500 0.5000
0.0000 0.0000 0.0000
0.5000 0.5000 0.0000
0.2500 0.2500 0.0000
0.7500 0.7500 0.0000
0.1662 0.6662 0.8324
0.3338 0.1662 0.5000
0.6662 0.8338 0.5000
0.8338 0.3338 0.1676
```

Main lines, low angle first (2θ = 10–90°):
d_spacing  2theta  I/Imax
2.939  30.42  74.5
2.927  30.54  100.0
2.393  37.58  21.2
2.078  43.55  38.5
2.062  43.91  25.7
1.694  54.13  59.6
1.688  54.35  26.8
1.464  63.57  22.7